Simulated powder X-ray diffraction pattern of SnHg2F5 for Cu Ka, from a structure optimized by DFT (GGA-PBE).
Neutral-atom scattering factors, no anomalous dispersion.

```
data_SnHg2F5
_chemical_formula_sum 'Sn1 Hg2 F5'
_cell_length_a 5.268
_cell_length_b 5.971
_cell_length_c 6.231
_cell_angle_alpha 82.70
_cell_angle_beta 73.15
_cell_angle_gamma 63.89
_symmetry_space_group_name_H-M 'P 1'
_symmetry_Int_Tables_number 1
_symmetry_space_group_name_Hall 'P 1'
loop_
_atom_site_label
_atom_site_fract_x
_atom_site_fract_y
_atom_site_fract_z
_atom_site_occupancy
Sn1 0.000 0.000 0.000 1
Hg1 0.337 0.429 0.540 1
Hg2 0.766 0.572 0.541 1
F1 0.234 0.000 0.685 1
F2 0.303 0.676 0.050 1
F3 0.688 0.999 0.891 1
F4 0.769 0.000 0.317 1
F5 0.978 0.325 0.051 1
```

The 10 most intense peaks (2θ = 15–90°), by intensity:
3.987 Å, 2θ 22.30, rel. 100, (0 1 -1); 2.981 Å, 2θ 29.97, rel. 31, (0 0 2); 4.193 Å, 2θ 21.19, rel. 29, (1 1 1); 2.346 Å, 2θ 38.37, rel. 27, (2 0 1); 2.916 Å, 2θ 30.66, rel. 24, (1 -1 0); 2.607 Å, 2θ 34.41, rel. 22, (0 1 2); 2.279 Å, 2θ 39.55, rel. 19, (2 1 2); 5.361 Å, 2θ 16.54, rel. 17, (0 1 0); 2.521 Å, 2θ 35.62, rel. 17, (2 1 0); 1.940 Å, 2θ 46.82, rel. 17, (1 3 1)

Simulated powder X-ray diffraction pattern of Sr4HgF10 for Cu Ka, from a structure optimized by DFT (GGA-PBE).
Neutral-atom scattering factors, no anomalous dispersion.

```
data_Sr4HgF10
_chemical_formula_sum 'Sr8 Hg2 F20'
_cell_length_a 9.201
_cell_length_b 9.201
_cell_length_c 5.818
_cell_angle_alpha 90.00
_cell_angle_beta 90.00
_cell_angle_gamma 90.00
_symmetry_space_group_name_H-M 'I 4/m'
_symmetry_Int_Tables_number 87
_symmetry_space_group_name_Hall '-I 4'
loop_
_atom_site_label
_atom_site_fract_x
_atom_site_fract_y
_atom_site_fract_z
_atom_site_occupancy
Sr1 0.100 0.701 0.000 1
Hg1 0.000 0.000 0.500 1
F1 0.000 0.500 0.250 1
F2 0.099 0.197 0.254 1
```

The 10 most intense peaks (2θ = 15–90°), by intensity:
3.360 Å, 2θ 26.53, rel. 100, (1 2 1); 2.057 Å, 2θ 44.02, rel. 68, (3 1 2); 1.754 Å, 2θ 52.13, rel. 46, (5 0 1); 2.909 Å, 2θ 30.73, rel. 21, (3 1 0); 1.188 Å, 2θ 80.94, rel. 20, (5 5 2); 1.335 Å, 2θ 70.55, rel. 19, (5 0 3); 1.120 Å, 2θ 87.01, rel. 15, (8 1 1); 1.455 Å, 2θ 64.00, rel. 10, (6 2 0); 1.301 Å, 2θ 72.67, rel. 10, (6 2 2); 4.917 Å, 2θ 18.04, rel. 9, (1 0 1)

Simulated powder X-ray diffraction pattern of Sr4Hg6F19 for Cu Ka, from a structure optimized by DFT (GGA-PBE).
Neutral-atom scattering factors, no anomalous dispersion.

```
data_Sr4Hg6F19
_chemical_formula_sum 'Sr8 Hg12 F38'
_cell_length_a 10.125
_cell_length_b 10.125
_cell_length_c 10.125
_cell_angle_alpha 90.00
_cell_angle_beta 90.00
_cell_angle_gamma 90.00
_symmetry_space_group_name_H-M 'I 2 3'
_symmetry_Int_Tables_number 197
_symmetry_space_group_name_Hall 'I 2 2 3'
loop_
_atom_site_label
_atom_site_fract_x
_atom_site_fract_y
_atom_site_fract_z
_atom_site_occupancy
Sr1 0.143 0.143 0.143 1
Hg1 0.000 0.150 0.500 1
F1 0.000 0.000 0.000 1
F2 0.000 0.000 0.295 1
F3 0.069 0.289 0.324 1
```

The 10 most intense peaks (2θ = 15–90°), by intensity:
3.202 Å, 2θ 27.86, rel. 100, (3 0 1); 2.706 Å, 2θ 33.10, rel. 77, (3 1 2); 1.986 Å, 2θ 45.69, rel. 74, (4 3 1); 5.063 Å, 2θ 17.52, rel. 41, (2 0 0); 1.688 Å, 2θ 54.37, rel. 31, (6 0 0); 1.177 Å, 2θ 81.83, rel. 26, (7 4 3); 2.067 Å, 2θ 43.80, rel. 20, (4 2 2); 1.286 Å, 2θ 73.67, rel. 19, (7 2 3); 4.134 Å, 2θ 21.50, rel. 19, (2 1 1); 1.493 Å, 2θ 62.18, rel. 18, (6 1 3)

Simulated powder X-ray diffraction pattern of TcHg12F7 for Cu Ka, from a structure optimized by DFT (GGA-PBE).
Neutral-atom scattering factors, no anomalous dispersion.

```
data_TcHg12F7
_chemical_formula_sum 'Tc1 Hg12 F7'
_cell_length_a 4.077
_cell_length_b 10.646
_cell_length_c 11.728
_cell_angle_alpha 80.14
_cell_angle_beta 89.94
_cell_angle_gamma 79.11
_symmetry_space_group_name_H-M 'P -1'
_symmetry_Int_Tables_number 2
_symmetry_space_group_name_Hall '-P 1'
loop_
_atom_site_label
_atom_site_fract_x
_atom_site_fract_y
_atom_site_fract_z
_atom_site_occupancy
Tc1 0.000 0.000 0.000 1
Hg1 0.132 0.732 0.541 1
Hg2 0.249 0.503 0.382 1
Hg3 0.287 0.398 0.870 1
Hg4 0.312 0.381 0.118 1
Hg5 0.436 0.112 0.625 1
Hg6 0.443 0.154 0.289 1
F1 0.001 0.993 0.835 1
F2 0.094 0.810 0.033 1
F3 0.350 0.311 0.701 1
F4 0.500 0.000 0.000 1
```

The 10 most intense peaks (2θ = 15–90°), by intensity:
3.274 Å, 2θ 27.24, rel. 100, (1 2 -1); 2.715 Å, 2θ 33.00, rel. 76, (1 2 3); 2.381 Å, 2θ 37.78, rel. 74, (1 4 0); 2.039 Å, 2θ 44.44, rel. 70, (2 1 0); 3.440 Å, 2θ 25.90, rel. 68, (1 2 1); 2.731 Å, 2θ 32.80, rel. 60, (0 2 4); 2.888 Å, 2θ 30.97, rel. 50, (0 0 4); 3.458 Å, 2θ 25.76, rel. 47, (0 3 1); 3.237 Å, 2θ 27.56, rel. 47, (1 1 -2); 3.378 Å, 2θ 26.39, rel. 47, (0 2 3)

Simulated powder X-ray diffraction pattern of Hg2TeF8 for Cu Ka, from a structure optimized by DFT (GGA-PBE).
Neutral-atom scattering factors, no anomalous dispersion.

```
data_Hg2TeF8
_chemical_formula_sum 'Hg4 Te2 F16'
_cell_length_a 9.870
_cell_length_b 7.759
_cell_length_c 4.787
_cell_angle_alpha 90.00
_cell_angle_beta 106.54
_cell_angle_gamma 90.00
_symmetry_space_group_name_H-M 'C 1 2/m 1'
_symmetry_Int_Tables_number 12
_symmetry_space_group_name_Hall '-C 2y'
loop_
_atom_site_label
_atom_site_fract_x
_atom_site_fract_y
_atom_site_fract_z
_atom_site_occupancy
Hg1 0.151 0.000 0.352 1
Te1 0.000 0.500 0.000 1
F1 0.089 0.000 0.792 1
F2 0.133 0.313 0.249 1
F3 0.134 0.500 0.736 1
```

The 10 most intense peaks (2θ = 15–90°), by intensity:
3.887 Å, 2θ 22.88, rel. 100, (0 2 0); 3.364 Å, 2θ 26.50, rel. 61, (1 1 1); 2.922 Å, 2θ 30.60, rel. 35, (3 1 0); 2.126 Å, 2θ 42.52, rel. 23, (1 3 1); 2.285 Å, 2θ 39.43, rel. 22, (1 1 -2); 2.749 Å, 2θ 32.58, rel. 21, (2 2 -1); 1.896 Å, 2θ 47.98, rel. 19, (4 0 1); 2.000 Å, 2θ 45.35, rel. 17, (3 3 0); 1.756 Å, 2θ 52.09, rel. 12, (1 3 -2); 1.681 Å, 2θ 54.58, rel. 12, (2 2 2)

Simulated powder X-ray diffraction pattern of HgTe2F11 for Cu Ka, from a structure optimized by DFT (GGA-PBE).
Neutral-atom scattering factors, no anomalous dispersion.

```
data_HgTe2F11
_chemical_formula_sum 'Hg4 Te8 F44'
_cell_length_a 9.452
_cell_length_b 9.603
_cell_length_c 10.804
_cell_angle_alpha 90.00
_cell_angle_beta 90.00
_cell_angle_gamma 90.00
_symmetry_space_group_name_H-M 'I b a m'
_symmetry_Int_Tables_number 72
_symmetry_space_group_name_Hall '-I 2 2c'
loop_
_atom_site_label
_atom_site_fract_x
_atom_site_fract_y
_atom_site_fract_z
_atom_site_occupancy
Hg1 0.000 0.000 0.250 1
Te1 0.151 0.320 0.000 1
F1 0.000 0.500 0.000 1
F2 0.063 0.190 0.132 1
F3 0.197 0.308 0.500 1
F4 0.243 0.083 0.371 1
```

The 10 most intense peaks (2θ = 15–90°), by intensity:
4.214 Å, 2θ 21.08, rel. 100, (1 1 2); 3.589 Å, 2θ 24.81, rel. 53, (0 2 2); 3.947 Å, 2θ 22.53, rel. 52, (2 1 1); 2.073 Å, 2θ 43.66, rel. 41, (3 3 2); 3.557 Å, 2θ 25.04, rel. 33, (2 0 2); 3.980 Å, 2θ 22.34, rel. 28, (1 2 1); 2.017 Å, 2θ 44.95, rel. 26, (1 3 4); 2.107 Å, 2θ 42.92, rel. 26, (2 2 4); 2.994 Å, 2θ 29.85, rel. 22, (3 1 0); 3.032 Å, 2θ 29.46, rel. 18, (1 3 0)